# TbUCN
Theoretical powder diffractogram, Cu Kα. Input: DFT lattice parameters and positions (GGA-PBE).

Most intense lines, 2θ = 10–80°, by intensity:
hkl 0 1 2, 31.15 deg, 2.871 Å, intensity 100
hkl 1 0 4, 36.22 deg, 2.480 Å, intensity 87
hkl 0 0 6, 31.48 deg, 2.841 Å, intensity 33
hkl 1 1 0, 51.93 deg, 1.761 Å, intensity 31
hkl 1 1 6, 62.01 deg, 1.497 Å, intensity 30
hkl 0 1 8, 52.38 deg, 1.747 Å, intensity 30

Crystal structure
abc: 3.522 3.522 17.049
angles: 90.00 90.00 120.00
Element x y z (fractional)
Tb 0.000 0.000 0.000
Tb 0.333 0.667 0.667
Tb 0.667 0.333 0.333
U 0.000 0.000 0.502
U 0.333 0.667 0.168
U 0.667 0.333 0.835
C 0.000 0.000 0.762
C 0.333 0.667 0.429
C 0.667 0.333 0.096
N 0.000 0.000 0.241
N 0.333 0.667 0.908
N 0.667 0.333 0.574